This entry pairs a crystal structure of Pr3MnGaS7 with its simulated powder XRD pattern. Radiation: Cu Kα X-rays. Structure: a structure optimized by DFT (PBE).

Principal peaks in the range 10° ≤ 2θ ≤ 90°, sorted by position:
| (hkl) | 2θ (°) | Rel. int. |
| --- | --- | --- |
| 1 0 1 | 17.75 | 22 |
| 1 1 1 | 22.83 | 28 |
| 2 0 1 | 25.00 | 100 |
| 2 1 0 | 26.81 | 30 |
| 3 0 1 | 33.95 | 34 |
| 2 2 0 | 35.34 | 36 |
| 2 0 2 | 35.95 | 41 |
| 1 3 1 | 39.82 | 31 |
| 2 1 2 | 40.23 | 28 |
| 4 1 1 | 49.82 | 24 |

Atomic structure:
Unit cell a=10.1590 b=10.1590 c=6.0697 alpha=90.00 beta=90.00 gamma=120.00
Sites, in units of the cell vectors:
Pr 0.1402 0.7656 0.0000
Pr 0.2344 0.3747 0.0000
Pr 0.3747 0.1402 0.5000
Pr 0.6253 0.8598 0.0000
Pr 0.7656 0.6253 0.5000
Pr 0.8598 0.2344 0.5000
Mn 0.0000 0.0000 0.2252
Mn 0.0000 0.0000 0.7252
Ga 0.3333 0.6667 0.5783
Ga 0.6667 0.3333 0.0783
S 0.0895 0.8526 0.4656
S 0.0973 0.5168 0.7310
S 0.1474 0.2369 0.4656
S 0.2369 0.0895 0.9656
S 0.3333 0.6667 0.2081
S 0.4195 0.9027 0.7310
S 0.4832 0.5805 0.7310
S 0.5168 0.4195 0.2310
S 0.5805 0.0973 0.2310
S 0.6667 0.3333 0.7081
S 0.7631 0.9105 0.4656
S 0.8526 0.7631 0.9656
S 0.9027 0.4832 0.2310
S 0.9105 0.1474 0.9656